The following is a theoretical PXRD pattern of CaTmZn10. It was derived from a crystal structure in Alexandria, relaxed with PBE, using Cu Kα (λ = 1.5418 Å).
Kinematic intensities with the Lorentz-polarization factor, no thermal factor.

Main lines, low angle first (2θ from 10° to 90°):
- 28.6°, rel. 27
- 33.7°, rel. 24
- 39.1°, rel. 32
- 40.0°, rel. 100
- 42.7°, rel. 29
- 44.8°, rel. 23

Structure:
abc: 4.2391 5.3240 9.1983
angles: 90.00 90.00 90.00
Element x y z (fractional)
Ca 0.0000 0.0000 0.0000
Tm 0.0000 0.5000 0.5000
Zn 0.0000 0.0000 0.3350
Zn 0.0000 0.0000 0.6650
Zn 0.0000 0.5000 0.1678
Zn 0.0000 0.5000 0.8322
Zn 0.5000 0.0000 0.5000
Zn 0.5000 0.2553 0.2580
Zn 0.5000 0.2553 0.7420
Zn 0.5000 0.5000 0.0000
Zn 0.5000 0.7447 0.2580
Zn 0.5000 0.7447 0.7420


The following is a theoretical PXRD pattern of CaZn2W. It was derived from a crystal structure in Alexandria, relaxed with PBE, using Cu Kα (λ = 1.5418 Å).
Kinematic intensities with the Lorentz-polarization factor, no thermal factor.

Main lines, low angle first (2θ from 10° to 90°):
- 13.7°, rel. 100
- 36.1°, rel. 71
- 38.8°, rel. 67
- 41.3°, rel. 28
- 41.9°, rel. 47
- 64.5°, rel. 25

Structure:
abc: 2.8936 3.8886 6.4806
angles: 90.00 90.00 90.00
Element x y z (fractional)
Ca 0.0000 0.0000 0.0000
Zn 0.5000 0.5000 0.2977
Zn 0.5000 0.5000 0.7023
W 0.0000 0.0000 0.5000


The following is a theoretical PXRD pattern of Ca2Y. It was derived from a crystal structure in Alexandria, relaxed with PBE, using Cu Kα (λ = 1.5418 Å).
Kinematic intensities with the Lorentz-polarization factor, no thermal factor.

Main lines, low angle first (2θ from 10° to 90°):
- 28.6°, rel. 100
- 29.3°, rel. 94
- 32.1°, rel. 37
- 34.3°, rel. 61
- 47.7°, rel. 45
- 57.6°, rel. 25

Structure:
abc: 6.5486 6.5486 6.5486
angles: 147.73 129.68 61.05
Element x y z (fractional)
Ca 0.1620 0.1620 0.0000
Ca 0.8380 0.8380 0.0000
Y 0.5000 0.5000 0.0000


The following is a theoretical PXRD pattern of Ca3Y2. It was derived from a crystal structure in Alexandria, relaxed with PBE, using Cu Kα (λ = 1.5418 Å).
Kinematic intensities with the Lorentz-polarization factor, no thermal factor.

Main lines, low angle first (2θ from 10° to 90°):
- 17.3°, rel. 24
- 28.6°, rel. 37
- 29.3°, rel. 100
- 29.5°, rel. 22
- 30.7°, rel. 77
- 35.8°, rel. 47

Structure:
abc: 9.5309 7.0551 10.9031
angles: 59.62 39.69 80.70
Element x y z (fractional)
Ca 0.0000 0.0000 0.0000
Ca 0.2500 0.2500 0.2500
Ca 0.3868 0.6605 0.4125
Ca 0.6605 0.3868 0.5402
Ca 0.7098 0.8375 0.5895
Ca 0.8375 0.7098 0.8632
Y 0.1304 0.4943 0.9641
Y 0.2859 0.8388 0.1196
Y 0.4943 0.1304 0.4112
Y 0.8388 0.2859 0.7557